Calculated X-ray powder pattern of ZnIn2Se4O12 for λ = 1.5418 Å (Cu Kα), from a DFT-relaxed cell (GGA-PBE, Alexandria).
Kinematic intensities with the Lorentz-polarization factor, no thermal factor.

Unit cell a=8.8862 b=4.9241 c=15.7466 alpha=90.00 beta=111.77 gamma=90.00
Atoms (fractional coordinates):
Zn 0.0000 0.0000 0.0000
Zn 0.0000 0.5000 0.5000
In 0.1512 0.0292 0.7151
In 0.1512 0.4708 0.2151
In 0.8488 0.5292 0.7849
In 0.8488 0.9708 0.2849
Se 0.2183 0.5684 0.8907
Se 0.2183 0.9316 0.3907
Se 0.3364 0.0009 0.1300
Se 0.3364 0.4991 0.6300
Se 0.6636 0.5009 0.3700
Se 0.6636 0.9991 0.8700
Se 0.7817 0.0684 0.6093
Se 0.7817 0.4316 0.1093
O 0.0474 0.7069 0.9036
O 0.0474 0.7931 0.4036
O 0.0953 0.1364 0.2990
O 0.0953 0.3636 0.7990
O 0.1696 0.7037 0.6252
O 0.1696 0.7963 0.1252
O 0.2247 0.1610 0.0293
O 0.2247 0.3390 0.5293
O 0.2884 0.6821 0.3387
O 0.2884 0.8179 0.8387
O 0.3520 0.2382 0.2138
O 0.3520 0.2618 0.7138
O 0.6480 0.7382 0.2862
O 0.6480 0.7618 0.7862
O 0.7116 0.1821 0.1613
O 0.7116 0.3179 0.6613
O 0.7753 0.6610 0.4707
O 0.7753 0.8390 0.9707
O 0.8304 0.2037 0.8748
O 0.8304 0.2963 0.3748
O 0.9047 0.6364 0.2010
O 0.9047 0.8636 0.7010
O 0.9526 0.2069 0.5964
O 0.9526 0.2931 0.0964

Largest 6 diffraction maxima, in order of falling intensity, 2θ = 15–90°:
2θ/deg  I (rel.)
25.1  1000
30.2  201
30.6  192
47.3  187
48.1  162
21.5  149

---

Calculated X-ray powder pattern of TlInSiO4 for λ = 1.5418 Å (Cu Kα), from a DFT-relaxed cell (GGA-PBE, Alexandria).
Kinematic intensities with the Lorentz-polarization factor, no thermal factor.

Unit cell a=5.4113 b=5.6496 c=7.6049 alpha=90.00 beta=92.67 gamma=90.00
Atoms (fractional coordinates):
Tl 0.2431 0.2500 0.1267
Tl 0.7569 0.7500 0.8733
In 0.1957 0.7500 0.4680
In 0.8043 0.2500 0.5320
Si 0.3169 0.2500 0.6462
Si 0.6831 0.7500 0.3538
O 0.1202 0.0239 0.6645
O 0.1202 0.4761 0.6645
O 0.4129 0.2500 0.4418
O 0.4244 0.7500 0.2326
O 0.5756 0.2500 0.7674
O 0.5871 0.7500 0.5582
O 0.8798 0.5239 0.3355
O 0.8798 0.9761 0.3355

Largest 6 diffraction maxima, in order of falling intensity, 2θ = 15–90°:
2θ/deg  I (rel.)
28.3  1000
26.0  989
25.3  804
31.7  655
45.0  495
33.1  403

---

Calculated X-ray powder pattern of InSnO4 for λ = 1.5418 Å (Cu Kα), from a DFT-relaxed cell (GGA-PBE, Alexandria).
Kinematic intensities with the Lorentz-polarization factor, no thermal factor.

Unit cell a=6.9132 b=7.0681 c=3.3004 alpha=90.00 beta=90.00 gamma=90.00
Atoms (fractional coordinates):
In 0.0000 0.0000 0.0000
In 0.5000 0.5000 0.0000
Sn 0.0000 0.5000 0.5000
Sn 0.5000 0.0000 0.5000
O 0.0000 0.3125 0.0000
O 0.0000 0.6875 0.0000
O 0.2021 0.0000 0.5000
O 0.2979 0.5000 0.5000
O 0.5000 0.1875 0.0000
O 0.5000 0.8125 0.0000
O 0.7021 0.5000 0.5000
O 0.7979 0.0000 0.5000

Largest 6 diffraction maxima, in order of falling intensity, 2θ = 15–90°:
2θ/deg  I (rel.)
32.6  1000
25.2  646
25.8  590
49.3  446
50.0  407
36.4  285

---

Calculated X-ray powder pattern of In15SnO24 for λ = 1.5418 Å (Cu Kα), from a DFT-relaxed cell (GGA-PBE, Alexandria).
Kinematic intensities with the Lorentz-polarization factor, no thermal factor.

Unit cell a=8.9242 b=8.9242 c=10.3208 alpha=125.17 beta=125.17 gamma=70.57
Atoms (fractional coordinates):
In 0.0000 0.0000 0.0000
In 0.1820 0.2508 0.4667
In 0.2153 0.7814 0.7483
In 0.2186 0.7847 0.2517
In 0.2500 0.3157 0.0342
In 0.4338 0.5662 0.5000
In 0.4668 0.0314 0.7161
In 0.4672 0.0336 0.2177
In 0.6843 0.7500 0.9658
In 0.7173 0.2823 0.2506
In 0.7177 0.2827 0.7494
In 0.7492 0.8180 0.5333
In 0.9337 0.0663 0.5000
In 0.9664 0.5328 0.7823
In 0.9686 0.5332 0.2839
Sn 0.5018 0.4982 0.0000
O 0.1716 0.5480 0.2397
O 0.1827 0.0135 0.4882
O 0.2126 0.0517 0.9778
O 0.2247 0.5108 0.5212
O 0.2608 0.0206 0.2590
O 0.2625 0.5539 0.0143
O 0.4426 0.3022 0.7236
O 0.4461 0.7375 0.9857
O 0.4520 0.8284 0.7603
O 0.4847 0.2461 0.9787
O 0.4886 0.3200 0.2926
O 0.4892 0.7753 0.4788
O 0.6728 0.0498 0.4793
O 0.6800 0.5114 0.7074
O 0.6978 0.5574 0.2764
O 0.7224 0.0089 0.2115
O 0.7517 0.0568 0.7940
O 0.7539 0.5153 0.0213
O 0.9432 0.2483 0.2060
O 0.9483 0.7874 0.0222
O 0.9502 0.3272 0.5207
O 0.9794 0.7392 0.7410
O 0.9865 0.8173 0.5118
O 0.9911 0.2776 0.7885

Largest 6 diffraction maxima, in order of falling intensity, 2θ = 15–90°:
2θ/deg  I (rel.)
30.0  1000
50.0  321
34.8  305
59.5  191
21.1  111
59.3  97

---

Calculated X-ray powder pattern of In15SnO24 for λ = 1.5418 Å (Cu Kα), from a DFT-relaxed cell (GGA-PBE, Alexandria).
Kinematic intensities with the Lorentz-polarization factor, no thermal factor.

Unit cell a=8.9274 b=8.9274 c=8.9274 alpha=109.39 beta=109.39 gamma=109.39
Atoms (fractional coordinates):
In 0.0000 0.5000 0.5000
In 0.0342 0.2499 0.7825
In 0.2175 0.9658 0.7501
In 0.2499 0.7825 0.0342
In 0.2506 0.2847 0.5334
In 0.2847 0.5334 0.2506
In 0.4666 0.7494 0.7153
In 0.5000 0.0000 0.5000
In 0.5000 0.5000 0.0000
In 0.5334 0.2506 0.2847
In 0.7153 0.4666 0.7494
In 0.7494 0.7153 0.4666
In 0.7501 0.2175 0.9658
In 0.7825 0.0342 0.2499
In 0.9658 0.7501 0.2175
Sn 0.0000 0.0000 0.0000
O 0.0074 0.7383 0.4662
O 0.0397 0.2635 0.0458
O 0.0458 0.0397 0.2635
O 0.2255 0.7639 0.2700
O 0.2278 0.4941 0.4561
O 0.2361 0.7300 0.7745
O 0.2617 0.5338 0.9926
O 0.2635 0.0458 0.0397
O 0.2700 0.2255 0.7639
O 0.4561 0.2278 0.4941
O 0.4662 0.0074 0.7383
O 0.4941 0.4561 0.2278
O 0.5059 0.5439 0.7722
O 0.5338 0.9926 0.2617
O 0.5439 0.7722 0.5059
O 0.7300 0.7745 0.2361
O 0.7365 0.9542 0.9603
O 0.7383 0.4662 0.0074
O 0.7639 0.2700 0.2255
O 0.7722 0.5059 0.5439
O 0.7745 0.2361 0.7300
O 0.9542 0.9603 0.7365
O 0.9603 0.7365 0.9542
O 0.9926 0.2617 0.5338

Largest 6 diffraction maxima, in order of falling intensity, 2θ = 15–90°:
2θ/deg  I (rel.)
30.0  1000
34.8  409
29.9  336
59.5  288
49.9  259
50.1  255

---

Calculated X-ray powder pattern of SrYIn4O8 for λ = 1.5418 Å (Cu Kα), from a DFT-relaxed cell (GGA-PBE, Alexandria).
Kinematic intensities with the Lorentz-polarization factor, no thermal factor.

Unit cell a=6.8055 b=6.8055 c=6.8055 alpha=59.32 beta=59.32 gamma=59.32
Atoms (fractional coordinates):
Sr 0.0000 0.0000 0.0000
Y 0.6266 0.6266 0.6266
In 0.1210 0.6262 0.6262
In 0.2495 0.2495 0.2495
In 0.6262 0.1210 0.6262
In 0.6262 0.6262 0.1210
O 0.3811 0.3811 0.8455
O 0.3811 0.8455 0.3811
O 0.3887 0.3887 0.3887
O 0.4263 0.8604 0.8604
O 0.8455 0.3811 0.3811
O 0.8567 0.8567 0.8567
O 0.8604 0.4263 0.8604
O 0.8604 0.8604 0.4263

Largest 6 diffraction maxima, in order of falling intensity, 2θ = 15–90°:
2θ/deg  I (rel.)
31.0  1000
31.1  654
30.8  520
53.9  467
54.5  457
32.5  361

---

Calculated X-ray powder pattern of Ta7InO19 for λ = 1.5418 Å (Cu Kα), from a DFT-relaxed cell (GGA-PBE, Alexandria).
Kinematic intensities with the Lorentz-polarization factor, no thermal factor.

Unit cell a=6.2513 b=6.2513 c=20.2208 alpha=90.00 beta=90.00 gamma=120.00
Atoms (fractional coordinates):
Ta 0.0000 0.0000 0.0000
Ta 0.0000 0.0000 0.5000
Ta 0.0268 0.3340 0.1558
Ta 0.0268 0.3340 0.3442
Ta 0.0268 0.6928 0.6558
Ta 0.0268 0.6928 0.8442
Ta 0.3072 0.3340 0.6558
Ta 0.3072 0.3340 0.8442
Ta 0.3072 0.9732 0.1558
Ta 0.3072 0.9732 0.3442
Ta 0.6660 0.6928 0.1558
Ta 0.6660 0.6928 0.3442
Ta 0.6660 0.9732 0.6558
Ta 0.6660 0.9732 0.8442
In 0.3333 0.6667 0.0000
In 0.3333 0.6667 0.5000
O 0.0000 0.0000 0.1623
O 0.0000 0.0000 0.3377
O 0.0000 0.0000 0.6623
O 0.0000 0.0000 0.8377
O 0.0644 0.2979 0.0555
O 0.0644 0.2979 0.4445
O 0.0644 0.7666 0.5555
O 0.0644 0.7666 0.9445
O 0.0770 0.3633 0.2500
O 0.0770 0.7137 0.7500
O 0.2334 0.2979 0.5555
O 0.2334 0.2979 0.9445
O 0.2334 0.9356 0.0555
O 0.2334 0.9356 0.4445
O 0.2863 0.3633 0.7500
O 0.2863 0.9230 0.2500
O 0.3333 0.6667 0.1381
O 0.3333 0.6667 0.3619
O 0.3333 0.6667 0.6381
O 0.3333 0.6667 0.8619
O 0.4218 0.0889 0.6526
O 0.4218 0.0889 0.8474
O 0.4218 0.3330 0.1526
O 0.4218 0.3330 0.3474
O 0.6367 0.7137 0.2500
O 0.6367 0.9230 0.7500
O 0.6670 0.0889 0.1526
O 0.6670 0.0889 0.3474
O 0.6670 0.5782 0.6526
O 0.6670 0.5782 0.8474
O 0.7021 0.7666 0.0555
O 0.7021 0.7666 0.4445
O 0.7021 0.9356 0.5555
O 0.7021 0.9356 0.9445
O 0.9111 0.3330 0.6526
O 0.9111 0.3330 0.8474
O 0.9111 0.5782 0.1526
O 0.9111 0.5782 0.3474

Largest 6 diffraction maxima, in order of falling intensity, 2θ = 15–90°:
2θ/deg  I (rel.)
28.9  1000
26.4  640
36.3  514
33.7  445
58.0  393
50.6  377